Structure and theoretical powder diffractogram of SrLiSb (a cell relaxed with PBE; copper Kα).

Principal peaks in the range 2θ from 10° to 90°, in order of rising 2θ:
h k l  2θ (°)  I/Imax
1 1 1  22.7  332
1 0 3  22.8  686
2 0 1  23.5  211
1 1 -2  25.5  496
0 1 3  27.2  265
1 1 3  29.5  254
2 1 1  30.1  742
2 1 -2  32.2  1000
0 1 4  32.5  526
0 2 0  37.5  470
3 0 -3  39.6  214
4 1 -5  61.3  203

Structure:
```
data_SrLiSb
_cell_length_a 7.896
_cell_length_b 4.793
_cell_length_c 13.450
_cell_angle_alpha 90.00
_cell_angle_beta 90.15
_cell_angle_gamma 90.00
_space_group_name_H-M_alt 'P 1 21/m 1'
_space_group_IT_number 11
_space_group_name_Hall '-P 2yb'
loop_
_atom_site_label
_atom_site_type_symbol
_atom_site_fract_x
_atom_site_fract_y
_atom_site_fract_z
Sr1 Sr 0.005 0.250 0.309
Sr2 Sr 0.335 0.750 0.924
Sr3 Sr 0.493 0.750 0.630
Li1 Li 0.005 0.250 0.908
Li2 Li 0.151 0.250 0.544
Li3 Li 0.340 0.750 0.206
Sb1 Sb 0.225 0.750 0.434
Sb2 Sb 0.226 0.250 0.097
Sb3 Sb 0.277 0.250 0.754
```